Structure and computed X-ray powder pattern of CsZrP2S8 (a PBE-relaxed structure; copper Kα).

Structural model:
Cell lengths 6.177, 6.177, 9.797 Å; angles 90.00, 90.00, 120.00 degrees
Sites, in units of the cell vectors:
Cs (0.000, 0.000, 0.000)
Zr (0.000, 0.000, 0.500)
P (0.333, 0.667, 0.711)
P (0.667, 0.333, 0.289)
S (0.007, 0.349, 0.649)
S (0.333, 0.667, 0.915)
S (0.342, 0.993, 0.649)
S (0.349, 0.342, 0.351)
S (0.651, 0.658, 0.649)
S (0.658, 0.007, 0.351)
S (0.667, 0.333, 0.085)
S (0.993, 0.651, 0.351)

The 10 most intense peaks (2θ = 10–90°), most intense first:
2θ/deg  intensity
24.6  100
34.3  59
16.6  47
30.3  40
28.9  37
51.2  32
48.7  30
18.9  29
38.3  29
47.4  29

***

Structure and computed X-ray powder pattern of Cs3PSe4 (a PBE-relaxed structure; copper Kα).

Structural model:
Cell lengths 7.687, 7.687, 7.687 Å; angles 122.50, 91.15, 116.28 degrees
Sites, in units of the cell vectors:
Cs (0.000, 0.000, 0.000)
Cs (0.150, 0.400, 0.751)
Cs (0.649, 0.400, 0.249)
P (0.484, 0.984, 0.500)
Se (0.157, 0.827, 0.329)
Se (0.498, 0.827, 0.671)
Se (0.638, 0.387, 0.749)
Se (0.638, 0.889, 0.251)

The 10 most intense peaks (2θ = 10–90°), most intense first:
2θ/deg  intensity
23.2  100
27.5  65
32.8  57
27.8  35
24.1  35
49.3  31
29.3  28
47.4  27
54.3  26
53.8  24

***

Structure and computed X-ray powder pattern of Cs2PSe5 (a PBE-relaxed structure; copper Kα).

Structural model:
Cell lengths 7.592, 7.811, 10.523 Å; angles 84.88, 87.29, 85.39 degrees
Sites, in units of the cell vectors:
Cs (0.205, 0.362, 0.371)
Cs (0.224, 0.777, 0.968)
Cs (0.776, 0.223, 0.032)
Cs (0.795, 0.638, 0.629)
P (0.243, 0.298, 0.777)
P (0.757, 0.702, 0.223)
Se (0.013, 0.186, 0.711)
Se (0.269, 0.270, 0.987)
Se (0.295, 0.547, 0.676)
Se (0.407, 0.896, 0.458)
Se (0.495, 0.105, 0.757)
Se (0.505, 0.895, 0.243)
Se (0.593, 0.104, 0.542)
Se (0.705, 0.453, 0.324)
Se (0.731, 0.730, 0.013)
Se (0.987, 0.814, 0.289)

The 10 most intense peaks (2θ = 10–90°), most intense first:
2θ/deg  intensity
25.2  100
27.1  84
27.4  78
28.4  54
25.5  46
26.6  40
26.2  37
31.7  36
29.6  28
32.1  27

***

Structure and computed X-ray powder pattern of Cs3PSe4 (a PBE-relaxed structure; copper Kα).

Structural model:
Cell lengths 10.169, 12.208, 10.253 Å; angles 90.00, 90.00, 90.00 degrees
Sites, in units of the cell vectors:
Cs (0.040, 0.042, 0.203)
Cs (0.040, 0.458, 0.203)
Cs (0.151, 0.750, 0.410)
Cs (0.349, 0.250, 0.910)
Cs (0.460, 0.542, 0.703)
Cs (0.460, 0.958, 0.703)
Cs (0.540, 0.042, 0.297)
Cs (0.540, 0.458, 0.297)
Cs (0.651, 0.750, 0.090)
Cs (0.849, 0.250, 0.590)
Cs (0.960, 0.542, 0.797)
Cs (0.960, 0.958, 0.797)
P (0.227, 0.750, 0.980)
P (0.273, 0.250, 0.480)
P (0.727, 0.750, 0.520)
P (0.773, 0.250, 0.020)
Se (0.026, 0.750, 0.069)
Se (0.168, 0.098, 0.542)
Se (0.168, 0.402, 0.542)
Se (0.212, 0.750, 0.763)
Se (0.288, 0.250, 0.263)
Se (0.332, 0.598, 0.042)
Se (0.332, 0.902, 0.042)
Se (0.474, 0.250, 0.569)
Se (0.526, 0.750, 0.431)
Se (0.668, 0.098, 0.958)
Se (0.668, 0.402, 0.958)
Se (0.712, 0.750, 0.737)
Se (0.788, 0.250, 0.237)
Se (0.832, 0.598, 0.458)
Se (0.832, 0.902, 0.458)
Se (0.974, 0.250, 0.931)

The 10 most intense peaks (2θ = 10–90°), most intense first:
2θ/deg  intensity
28.1  100
27.1  93
29.4  86
27.7  79
28.7  75
22.8  56
34.9  54
24.3  48
45.7  47
31.3  41

***

Structure and computed X-ray powder pattern of Cs3SnPSe7 (a PBE-relaxed structure; copper Kα).

Structural model:
Cell lengths 7.705, 10.431, 12.714 Å; angles 78.83, 88.15, 69.38 degrees
Sites, in units of the cell vectors:
Cs (0.045, 0.487, 0.292)
Cs (0.326, 0.876, 0.103)
Cs (0.377, 0.817, 0.486)
Cs (0.623, 0.183, 0.514)
Cs (0.674, 0.124, 0.897)
Cs (0.955, 0.513, 0.708)
Sn (0.402, 0.572, 0.868)
Sn (0.598, 0.428, 0.132)
P (0.228, 0.061, 0.724)
P (0.772, 0.939, 0.276)
Se (0.042, 0.932, 0.705)
Se (0.076, 0.769, 0.869)
Se (0.124, 0.196, 0.565)
Se (0.153, 0.162, 0.863)
Se (0.334, 0.396, 0.029)
Se (0.477, 0.487, 0.697)
Se (0.482, 0.079, 0.268)
Se (0.518, 0.921, 0.732)
Se (0.523, 0.513, 0.303)
Se (0.666, 0.604, 0.971)
Se (0.847, 0.838, 0.137)
Se (0.876, 0.804, 0.435)
Se (0.924, 0.231, 0.131)
Se (0.958, 0.068, 0.295)

The 10 most intense peaks (2θ = 10–90°), most intense first:
2θ/deg  intensity
25.5  100
25.6  56
27.6  34
29.6  31
18.5  30
28.0  27
23.1  24
36.0  20
37.0  19
49.4  16

***

Structure and computed X-ray powder pattern of CsTlSnPSe (a PBE-relaxed structure; copper Kα).

Structural model:
Cell lengths 8.201, 8.201, 5.287 Å; angles 95.52, 95.52, 28.59 degrees
Sites, in units of the cell vectors:
Cs (0.000, 0.000, 0.000)
Tl (0.230, 0.230, 0.837)
Sn (0.777, 0.777, 0.309)
P (0.362, 0.362, 0.511)
Se (0.628, 0.628, 0.497)

The 10 most intense peaks (2θ = 10–90°), most intense first:
2θ/deg  intensity
28.7  100
11.2  58
26.8  44
36.0  34
22.5  27
43.1  25
31.8  25
37.1  18
44.8  17
28.0  15